Entry 1:
Diffraction record for MnCdSe2. The powder XRD pattern is computed, not measured: it uses a structure optimized by DFT (GGA-PBE) and Cu Kα (weighted mean of Kα1 and Kα2).

Structural model:
Lattice parameters (Å, degrees): 4.2959 4.2959 6.9603 90.00 90.00 120.00
Space group P3m1 (No. 156)
Unique sites:
Mn1 0.0000 0.0000 0.0000 [1 per cell]
Cd1 0.6667 0.3333 0.5036 [1 per cell]
Se1 0.0000 0.0000 0.3635 [1 per cell]
Se2 0.6667 0.3333 0.8903 [1 per cell]

The 10 most intense peaks (2θ = 10–90°), by angle:
| Position (°2θ) | d (Å) | I_rel |
| --- | --- | --- |
| 23.92 | 3.720 | 100 |
| 25.60 | 3.480 | 51 |
| 27.18 | 3.281 | 62 |
| 35.32 | 2.542 | 45 |
| 42.07 | 2.148 | 80 |
| 46.11 | 1.969 | 76 |
| 49.89 | 1.828 | 47 |
| 64.17 | 1.451 | 27 |
| 72.50 | 1.304 | 29 |
| 79.74 | 1.203 | 29 |

=====

Entry 2:
Diffraction record for MnCd2Te3. The powder XRD pattern is computed, not measured: it uses a structure optimized by DFT (GGA-PBE) and Cu Kα (weighted mean of Kα1 and Kα2).

Structural model:
Lattice parameters (Å, degrees): 4.6324 4.6324 11.2493 90.00 90.00 120.00
Space group P3m1 (No. 156)
Unique sites:
Mn1 0.0000 0.0000 0.0000 [1 per cell]
Cd1 0.3333 0.6667 0.6745 [1 per cell]
Cd2 0.6667 0.3333 0.3331 [1 per cell]
Te1 0.0000 0.0000 0.2428 [1 per cell]
Te2 0.3333 0.6667 0.9302 [1 per cell]
Te3 0.6667 0.3333 0.5865 [1 per cell]

The 10 most intense peaks (2θ = 10–90°), by angle:
| Position (°2θ) | d (Å) | I_rel |
| --- | --- | --- |
| 23.54 | 3.779 | 100 |
| 23.73 | 3.750 | 32 |
| 38.88 | 2.316 | 52 |
| 39.12 | 2.303 | 51 |
| 45.96 | 1.975 | 16 |
| 46.06 | 1.971 | 32 |
| 46.27 | 1.962 | 15 |
| 56.34 | 1.633 | 17 |
| 61.73 | 1.503 | 13 |
| 70.57 | 1.335 | 17 |

=====

Entry 3:
Diffraction record for Mn2CdTe3. The powder XRD pattern is computed, not measured: it uses a structure optimized by DFT (GGA-PBE) and Cu Kα (weighted mean of Kα1 and Kα2).

Structural model:
Lattice parameters (Å, degrees): 4.0766 4.0766 10.4642 90.00 90.00 120.00
Space group P-3m1 (No. 164)
Unique sites:
Mn1 0.3333 0.6667 0.1594 [2 per cell]
Cd1 0.0000 0.0000 0.5000 [1 per cell]
Te1 0.0000 0.0000 0.0000 [1 per cell]
Te2 0.3333 0.6667 0.6909 [2 per cell]

The 10 most intense peaks (2θ = 10–90°), by angle:
| Position (°2θ) | d (Å) | I_rel |
| --- | --- | --- |
| 26.65 | 3.345 | 11 |
| 30.55 | 2.927 | 100 |
| 43.03 | 2.102 | 33 |
| 44.45 | 2.038 | 35 |
| 54.89 | 1.673 | 18 |
| 63.59 | 1.463 | 10 |
| 71.16 | 1.325 | 13 |
| 73.20 | 1.293 | 15 |
| 80.87 | 1.189 | 10 |
| 81.85 | 1.177 | 6 |

=====

Entry 4:
Diffraction record for MnZnCdTe3. The powder XRD pattern is computed, not measured: it uses a structure optimized by DFT (GGA-PBE) and Cu Kα (weighted mean of Kα1 and Kα2).

Structural model:
Lattice parameters (Å, degrees): 4.508 4.520 19.146 90.00 90.00 90.00
Space group Imm2 (No. 44)
Unique sites:
Mn1 0.000 0.000 0.000 [2 per cell]
Zn1 0.000 0.000 0.340 [2 per cell]
Cd1 0.000 0.000 0.672 [2 per cell]
Te1 0.000 0.500 0.081 [2 per cell]
Te2 0.000 0.500 0.418 [2 per cell]
Te3 0.000 0.500 0.762 [2 per cell]

The 10 most intense peaks (2θ = 10–90°), by angle:
| Position (°2θ) | d (Å) | I_rel |
| --- | --- | --- |
| 24.15 | 3.685 | 100 |
| 39.94 | 2.257 | 62 |
| 40.00 | 2.254 | 13 |
| 47.23 | 1.925 | 47 |
| 57.78 | 1.596 | 12 |
| 63.48 | 1.465 | 9 |
| 63.58 | 1.463 | 9 |
| 72.49 | 1.304 | 12 |
| 72.61 | 1.302 | 12 |
| 77.79 | 1.228 | 7 |

=====

Entry 5:
Diffraction record for Cd3N2. The powder XRD pattern is computed, not measured: it uses a structure optimized by DFT (GGA-PBE) and Cu Kα (weighted mean of Kα1 and Kα2).

Structural model:
Lattice parameters (Å, degrees): 11.007 11.007 11.007 90.00 90.00 90.00
Space group Ia-3 (No. 206)
Unique sites:
Cd1 0.095 0.148 0.627 [48 per cell]
N1 0.000 0.000 0.000 [8 per cell]
N2 0.000 0.250 0.279 [24 per cell]

The 10 most intense peaks (2θ = 10–90°), by angle:
| Position (°2θ) | d (Å) | I_rel |
| --- | --- | --- |
| 30.39 | 2.942 | 100 |
| 32.54 | 2.752 | 96 |
| 38.36 | 2.347 | 66 |
| 45.12 | 2.010 | 12 |
| 46.68 | 1.946 | 70 |
| 58.06 | 1.589 | 12 |
| 61.95 | 1.498 | 50 |
| 66.94 | 1.398 | 35 |
| 76.43 | 1.246 | 9 |
| 81.01 | 1.187 | 16 |

=====

Entry 6:
Diffraction record for CdOs2N4O8. The powder XRD pattern is computed, not measured: it uses a structure optimized by DFT (GGA-PBE) and Cu Kα (weighted mean of Kα1 and Kα2).

Structural model:
Lattice parameters (Å, degrees): 10.818 10.818 10.818 90.00 90.00 90.00
Space group F-43m (No. 216)
Unique sites:
Cd1 0.000 0.000 0.000 [4 per cell]
Os1 0.000 0.000 0.500 [4 per cell]
Os2 0.250 0.250 0.250 [4 per cell]
N1 0.121 0.121 0.879 [16 per cell]
O1 0.092 0.092 0.592 [16 per cell]
O2 0.158 0.158 0.158 [16 per cell]

The 10 most intense peaks (2θ = 10–90°), by angle:
| Position (°2θ) | d (Å) | I_rel |
| --- | --- | --- |
| 14.18 | 6.246 | 35 |
| 23.26 | 3.825 | 100 |
| 27.34 | 3.262 | 30 |
| 33.12 | 2.704 | 9 |
| 40.87 | 2.208 | 40 |
| 43.47 | 2.082 | 8 |
| 47.55 | 1.912 | 20 |
| 53.58 | 1.710 | 16 |
| 64.46 | 1.446 | 24 |
| 74.41 | 1.275 | 12 |